[1]
The following is a theoretical X-ray diffraction stick pattern of K2RbAsF6. It was derived from a cell relaxed with GGA-PBE, using Cu Kα (weighted mean of Kα1 and Kα2).

Atomic structure:
```
10
Lattice="0.0000 4.7064 4.7064 4.7064 0.0000 4.7064 4.7064 4.7064 0.0000" Properties=species:S:1:pos:R:3 pbc="T T T"
K 2.3532 2.3532 2.3532
K 7.0596 7.0596 7.0596
Rb 0.0000 0.0000 0.0000
As 4.7064 4.7064 4.7064
F 4.7064 4.7064 2.6399
F 4.7064 2.6399 4.7064
F 6.7729 4.7064 4.7064
F 2.6399 4.7064 4.7064
F 4.7064 6.7729 4.7064
F 4.7064 4.7064 6.7729
```

Largest 8 diffraction maxima, in order of falling intensity, 10° ≤ 2θ ≤ 90°:
two_theta  I_rel
26.8  100
38.2  52
18.9  40
47.3  36
55.2  30
75.6  21
62.4  20
43.0  16


[2]
The following is a theoretical X-ray diffraction stick pattern of BaCaTbSbO6. It was derived from a cell relaxed with GGA-PBE, using Cu Kα (weighted mean of Kα1 and Kα2).

Atomic structure:
```
10
Lattice="0.0000 4.2230 4.2230 4.2230 0.0000 4.2230 4.2230 4.2230 0.0000" Properties=species:S:1:pos:R:3 pbc="T T T"
Ba 0.0000 0.0000 0.0000
Ca 4.2230 4.2230 4.2230
Tb 6.3344 6.3344 6.3344
Sb 2.1115 2.1115 2.1115
O 2.1115 2.1115 0.1133
O 2.1115 0.1133 2.1115
O 4.1097 2.1115 2.1115
O 0.1133 2.1115 2.1115
O 2.1115 4.1097 2.1115
O 2.1115 2.1115 4.1097
```

Largest 8 diffraction maxima, in order of falling intensity, 10° ≤ 2θ ≤ 90°:
two_theta  I_rel
29.9  100
53.1  40
42.8  31
86.2  21
62.2  19
70.5  18
21.0  13
18.2  11


[3]
The following is a theoretical X-ray diffraction stick pattern of TaSeS. It was derived from a cell relaxed with GGA-PBE, using Cu Kα (weighted mean of Kα1 and Kα2).

Atomic structure:
```
3
Lattice="3.4333 0.0000 0.0000 -1.7167 2.9733 0.0000 0.0000 0.0000 6.3999" Properties=species:S:1:pos:R:3 pbc="T T T"
Ta 0.0000 0.0000 0.0000
Se 1.7167 0.9911 4.6932
S 0.0000 1.9822 1.5033
```

Largest 8 diffraction maxima, in order of falling intensity, 10° ≤ 2θ ≤ 90°:
two_theta  I_rel
13.8  100
33.2  100
41.5  71
53.4  25
30.1  25
52.8  24
55.4  18
69.7  15


[4]
The following is a theoretical X-ray diffraction stick pattern of Y4NiSn8. It was derived from a cell relaxed with GGA-PBE, using Cu Kα (weighted mean of Kα1 and Kα2).

Atomic structure:
```
13
Lattice="4.4029 0.0000 0.0000 0.0000 4.4120 0.0000 0.0000 0.0000 16.9087" Properties=species:S:1:pos:R:3 pbc="T T T"
Y 0.0000 0.0000 0.0000
Y 0.0000 2.2060 3.3721
Y 2.2015 0.0000 8.3717
Y 2.2015 2.2060 11.8577
Ni 0.0000 0.0000 13.3256
Sn 0.0000 0.0000 5.9480
Sn 0.0000 0.0000 10.8645
Sn 0.0000 2.2060 8.9198
Sn 0.0000 2.2060 14.5494
Sn 2.2015 0.0000 2.7387
Sn 2.2015 0.0000 14.5641
Sn 2.2015 2.2060 0.6876
Sn 2.2015 2.2060 5.8171
```

Largest 8 diffraction maxima, in order of falling intensity, 10° ≤ 2θ ≤ 90°:
two_theta  I_rel
32.8  100
41.0  36
31.8  17
52.7  17
59.3  12
69.4  12
69.5  12
37.9  9


[5]
The following is a theoretical X-ray diffraction stick pattern of Tm2GaOs. It was derived from a cell relaxed with GGA-PBE, using Cu Kα (weighted mean of Kα1 and Kα2).

Atomic structure:
```
4
Lattice="0.0000 3.4370 3.4370 3.4370 0.0000 3.4370 3.4370 3.4370 0.0000" Properties=species:S:1:pos:R:3 pbc="T T T"
Tm 1.7185 1.7185 1.7185
Tm 5.1555 5.1555 5.1555
Ga 0.0000 0.0000 0.0000
Os 3.4370 3.4370 3.4370
```

Largest 8 diffraction maxima, in order of falling intensity, 10° ≤ 2θ ≤ 90°:
two_theta  I_rel
37.0  100
66.7  36
53.3  18
78.8  11
22.4  8
43.7  5
25.9  2
58.5  2


[6]
The following is a theoretical X-ray diffraction stick pattern of Li2CuSiO4. It was derived from a cell relaxed with GGA-PBE, using Cu Kα (weighted mean of Kα1 and Kα2).

Atomic structure:
```
32
Lattice="6.3496 0.0000 0.0000 0.0000 5.0334 0.0000 -0.4998 0.0000 10.7102" Properties=species:S:1:pos:R:3 pbc="T T T"
Li -0.1663 0.9065 4.4206
Li -0.4162 1.6102 9.7757
Li 1.3525 3.4329 3.5684
Li 1.1026 4.1172 8.9235
Li 4.7472 0.9162 1.7867
Li 4.4973 1.6005 7.1417
Li 6.2660 3.4231 0.9345
Li 6.0161 4.1269 6.2896
Cu 3.0658 3.6332 0.9080
Cu 2.8159 3.9168 6.2631
Cu 3.0338 1.1166 4.4470
Cu 2.7839 1.4001 9.8021
Si 1.4420 0.9148 1.7738
Si 1.1921 1.6018 7.1289
Si 4.6577 3.4315 3.5812
Si 4.4078 4.1185 8.9363
O -0.1454 1.0816 6.3739
O 0.1045 1.4351 1.0188
O 1.2597 3.2657 7.1517
O 1.5096 4.2844 1.7966
O 1.1999 1.0494 8.6919
O 1.4498 1.4673 3.3368
O 2.5626 1.0574 6.3338
O 2.8125 1.4593 0.9787
O 3.0373 3.5741 9.7314
O 3.2872 3.9760 4.3763
O 4.3999 3.5661 7.3734
O 4.6498 3.9839 2.0183
O 4.3402 0.7490 8.9136
O 4.5901 1.7677 3.5585
O 5.7453 3.5983 9.6913
O 5.9952 3.9518 4.3362
```

Largest 8 diffraction maxima, in order of falling intensity, 10° ≤ 2θ ≤ 90°:
two_theta  I_rel
14.0  100
27.7  58
33.5  55
35.7  54
22.2  44
58.1  28
32.1  21
49.7  21